Structure and computed X-ray powder pattern of NdHoNO (a cell relaxed with PBE; Cu Kα X-rays).
Peak positions follow from Bragg's law for the DFT cell and can differ from measured ones.

Top 10 peaks for 10 to 90 degrees two-theta, by intensity:
- 31.2°, intensity 1000, (1 0 2)
- 44.8°, intensity 542, (0 2 0)
- 25.4°, intensity 426, (0 1 1)
- 58.9°, intensity 314, (2 2 0)
- 36.2°, intensity 224, (2 0 0)
- 55.6°, intensity 208, (1 2 2)
- 62.0°, intensity 150, (3 0 2)
- 74.1°, intensity 124, (1 1 5)
- 82.6°, intensity 98, (0 3 3)
- 79.7°, intensity 75, (3 2 2)

Cell and atoms:
```
data_NdHoNO
_chemical_formula_sum 'Nd2 Ho2 N2 O2'
_space_group_name_H-M_alt 'P m m a'
_space_group_IT_number 51
_space_group_name_Hall '-P 2a 2a'
_cell_length_a 4.969
_cell_length_b 4.048
_cell_length_c 7.006
_cell_angle_alpha 90.00
_cell_angle_beta 90.00
_cell_angle_gamma 90.00
loop_
_atom_site_label
_atom_site_type_symbol
_atom_site_fract_x
_atom_site_fract_y
_atom_site_fract_z
Nd1 Nd 0.250 0.000 0.164
Ho1 Ho 0.250 0.500 0.665
N1 N 0.250 0.500 0.346
O1 O 0.250 0.000 0.806
```